Diffraction record for Mg15GaPb4. The X-ray powder pattern is simulated, not measured: it uses a structure optimized by DFT (GGA-PBE) and CuKα.

Cell and atoms:
```
data_Mg15GaPb4
_symmetry_space_group_name_H-M 'P 4/m m m'
_symmetry_Int_Tables_number 123
_symmetry_space_group_name_Hall '-P 4 2'
_cell_length_a 4.460
_cell_length_b 4.460
_cell_length_c 23.314
_cell_angle_alpha 90.00
_cell_angle_beta 90.00
_cell_angle_gamma 90.00
loop_
_atom_site_label
_atom_site_type_symbol
_atom_site_fract_x
_atom_site_fract_y
_atom_site_fract_z
Mg1 Mg 0.000 0.000 0.000
Mg2 Mg 0.000 0.000 0.194
Mg3 Mg 0.000 0.000 0.398
Mg4 Mg 0.000 0.500 0.091
Mg5 Mg 0.000 0.500 0.296
Mg6 Mg 0.000 0.500 0.500
Ga1 Ga 0.500 0.500 0.000
Pb1 Pb 0.500 0.500 0.194
Pb2 Pb 0.500 0.500 0.399
```

Largest 8 diffraction maxima, by angle, 2θ from 10° to 80°:
2θ/deg	d/Å	I_rel	(hkl)
19.03	4.663	37.0	0 0 5
19.91	4.460	67.4	1 0 0
27.68	3.223	61.3	1 0 5
28.30	3.154	29.5	1 1 0
34.33	2.612	100.0	1 1 5
40.45	2.230	32.5	2 0 0
49.72	1.834	25.9	2 1 5
69.65	1.350	25.6	3 1 5